Record 1
Starting from a crystal structure in Alexandria, relaxed with GGA-PBE, the X-ray powder pattern of ZrSiHg was computed for Cu Ka.
Intensities are scaled so that the largest is 100.

Largest 6 diffraction maxima, low angle first, 2θ from 5° to 70°:
| d_spacing | Position (°2θ) | I/Imax |
| --- | --- | --- |
| 5.577 | 15.89 | 27 |
| 3.110 | 28.71 | 52 |
| 2.612 | 34.33 | 32 |
| 2.442 | 36.81 | 100 |
| 2.063 | 43.88 | 16 |
| 1.473 | 63.12 | 21 |

Structural model:
```
ZrSiHg
1.0
0.0000 2.6120 5.5767
2.0634 0.0000 5.5767
2.0634 2.6120 0.0000
Zr Si Hg
1 1 1
direct
0.0000 0.0000 0.0000 Zr
0.6499 0.6499 0.3501 Si
0.3072 0.3072 0.6928 Hg
```


Record 2
Starting from a crystal structure in Alexandria, relaxed with GGA-PBE, the X-ray powder pattern of Mn4WSe was computed for Cu Ka.
Intensities are scaled so that the largest is 100.

Largest 6 diffraction maxima, low angle first, 2θ from 5° to 70°:
| d_spacing | Position (°2θ) | I/Imax |
| --- | --- | --- |
| 3.920 | 22.68 | 21 |
| 3.395 | 26.25 | 10 |
| 2.401 | 37.46 | 59 |
| 2.047 | 44.24 | 100 |
| 1.960 | 46.32 | 19 |
| 1.386 | 67.59 | 21 |

Structural model:
```
Mn4WSe
1.0
0.0000 3.3948 3.3948
3.3948 0.0000 3.3948
3.3948 3.3948 0.0000
Mn W Se
4 1 1
direct
0.3759 0.3759 0.3759 Mn
0.3759 0.3759 0.8722 Mn
0.3759 0.8722 0.3759 Mn
0.8722 0.3759 0.3759 Mn
0.7500 0.7500 0.7500 W
0.0000 0.0000 0.0000 Se
```


Record 3
Starting from a crystal structure in Alexandria, relaxed with GGA-PBE, the X-ray powder pattern of TlCdPd6 was computed for Cu Ka.
Intensities are scaled so that the largest is 100.

Largest 6 diffraction maxima, low angle first, 2θ from 5° to 70°:
| d_spacing | Position (°2θ) | I/Imax |
| --- | --- | --- |
| 3.406 | 26.16 | 5 |
| 2.489 | 36.09 | 24 |
| 2.336 | 38.55 | 27 |
| 2.197 | 41.09 | 100 |
| 1.703 | 53.83 | 15 |
| 1.437 | 64.89 | 17 |

Structural model:
```
TlCdPd6
1.0
5.7482 0.0000 0.0000
-2.8741 4.9781 0.0000
0.0000 0.0000 4.6712
Tl Cd Pd
1 1 6
direct
0.0000 0.0000 0.0000 Tl
0.6667 0.3333 0.5000 Cd
0.0031 0.5016 0.0000 Pd
0.1696 0.3391 0.5000 Pd
0.1696 0.8304 0.5000 Pd
0.4984 0.5016 0.0000 Pd
0.4984 0.9969 0.0000 Pd
0.6609 0.8304 0.5000 Pd
```


Record 4
Starting from a crystal structure in Alexandria, relaxed with GGA-PBE, the X-ray powder pattern of ErAl4Ag2 was computed for Cu Ka.
Intensities are scaled so that the largest is 100.

Largest 6 diffraction maxima, low angle first, 2θ from 5° to 70°:
| d_spacing | Position (°2θ) | I/Imax |
| --- | --- | --- |
| 5.709 | 15.52 | 42 |
| 3.318 | 26.87 | 35 |
| 2.855 | 31.34 | 42 |
| 2.703 | 33.14 | 100 |
| 2.246 | 40.15 | 38 |
| 2.164 | 41.74 | 30 |

Structural model:
```
ErAl4Ag2
1.0
8.0740 0.0000 0.0000
0.0000 8.0740 0.0000
0.0000 0.0000 4.0772
Er Al Ag
2 8 4
direct
0.0000 0.0000 0.0000 Er
0.5000 0.5000 0.5000 Er
0.0873 0.3384 0.5000 Al
0.1616 0.5873 0.0000 Al
0.3384 0.0873 0.5000 Al
0.4127 0.8384 0.0000 Al
0.5873 0.1616 0.0000 Al
0.6616 0.9127 0.5000 Al
0.8384 0.4127 0.0000 Al
0.9127 0.6616 0.5000 Al
0.2047 0.7953 0.5000 Ag
0.2953 0.2953 0.0000 Ag
0.7047 0.7047 0.0000 Ag
0.7953 0.2047 0.5000 Ag
```


Record 5
Starting from a crystal structure in Alexandria, relaxed with GGA-PBE, the X-ray powder pattern of RbZr2Nb was computed for Cu Ka.
Intensities are scaled so that the largest is 100.

Largest 6 diffraction maxima, low angle first, 2θ from 5° to 70°:
| d_spacing | Position (°2θ) | I/Imax |
| --- | --- | --- |
| 6.593 | 13.43 | 93 |
| 4.106 | 21.64 | 100 |
| 3.910 | 22.74 | 44 |
| 3.297 | 27.05 | 60 |
| 2.293 | 39.29 | 41 |
| 2.053 | 44.11 | 60 |

Structural model:
```
RbZr2Nb
1.0
-3.9097 3.9097 6.1320
3.9097 -3.9097 6.1320
3.9097 3.9097 -6.1320
Rb Zr Nb
2 4 2
direct
0.3750 0.6250 0.7500 Rb
0.6250 0.3750 0.2500 Rb
0.0000 0.0000 0.0000 Zr
0.0000 0.0000 0.5000 Zr
0.0000 0.5000 0.0000 Zr
0.5000 0.0000 0.5000 Zr
0.1250 0.8750 0.2500 Nb
0.8750 0.1250 0.7500 Nb
```


Record 6
Starting from a crystal structure in Alexandria, relaxed with GGA-PBE, the X-ray powder pattern of Zr2P3S was computed for Cu Ka.
Intensities are scaled so that the largest is 100.

Largest 6 diffraction maxima, low angle first, 2θ from 5° to 70°:
| d_spacing | Position (°2θ) | I/Imax |
| --- | --- | --- |
| 3.277 | 27.22 | 100 |
| 2.547 | 35.23 | 45 |
| 2.139 | 42.24 | 86 |
| 2.123 | 42.58 | 75 |
| 1.801 | 50.68 | 41 |
| 1.373 | 68.29 | 35 |

Structural model:
```
Zr2P3S
1.0
3.6023 0.0000 0.0000
0.0000 3.6023 0.0000
0.0000 0.0000 7.8844
Zr P S
2 3 1
direct
0.0000 0.0000 0.0000 Zr
0.5000 0.5000 0.4686 Zr
0.0000 0.5000 0.7332 P
0.5000 0.0000 0.7332 P
0.5000 0.5000 0.1144 P
0.0000 0.0000 0.3556 S
```


Record 7
Starting from a crystal structure in Alexandria, relaxed with GGA-PBE, the X-ray powder pattern of Mg3Cu7Si4 was computed for Cu Ka.
Intensities are scaled so that the largest is 100.

Largest 6 diffraction maxima, low angle first, 2θ from 5° to 70°:
| d_spacing | Position (°2θ) | I/Imax |
| --- | --- | --- |
| 4.287 | 20.72 | 87 |
| 2.382 | 37.77 | 100 |
| 2.325 | 38.73 | 78 |
| 2.140 | 42.22 | 85 |
| 2.056 | 44.04 | 50 |
| 1.974 | 45.99 | 80 |

Structural model:
```
Mg3Cu7Si4
1.0
7.2645 -1.9736 0.0000
7.2645 1.9736 0.0000
-4.7998 0.0000 7.1127
Mg Cu Si
3 7 4
direct
0.0000 0.0000 0.0000 Mg
0.3253 0.3253 0.3353 Mg
0.6747 0.6747 0.6647 Mg
0.0000 0.0000 0.5000 Cu
0.1391 0.1391 0.4002 Cu
0.3089 0.3089 0.9755 Cu
0.4965 0.4965 0.7274 Cu
0.5035 0.5035 0.2726 Cu
0.6911 0.6911 0.0245 Cu
0.8609 0.8609 0.5998 Cu
0.1107 0.1107 0.8269 Si
0.3234 0.3234 0.7062 Si
0.6766 0.6766 0.2938 Si
0.8893 0.8893 0.1731 Si
```


Record 8
Starting from a crystal structure in Alexandria, relaxed with GGA-PBE, the X-ray powder pattern of Tl2Pd3Se2 was computed for Cu Ka.
Intensities are scaled so that the largest is 100.

Largest 6 diffraction maxima, low angle first, 2θ from 5° to 70°:
| d_spacing | Position (°2θ) | I/Imax |
| --- | --- | --- |
| 3.046 | 29.32 | 62 |
| 2.948 | 30.32 | 75 |
| 2.530 | 35.48 | 39 |
| 2.419 | 37.16 | 73 |
| 2.118 | 42.69 | 100 |
| 1.474 | 63.08 | 36 |

Structural model:
```
Tl2Pd3Se2
1.0
2.9475 1.7018 5.0598
-2.9475 1.7018 5.0598
0.0000 -3.4035 5.0598
Tl Pd Se
2 3 2
direct
0.0000 0.0000 0.0000 Tl
0.5000 0.5000 0.5000 Tl
0.0000 0.5000 0.5000 Pd
0.5000 0.0000 0.5000 Pd
0.5000 0.5000 0.0000 Pd
0.2143 0.2143 0.2143 Se
0.7857 0.7857 0.7857 Se
```


Record 9
Starting from a crystal structure in Alexandria, relaxed with GGA-PBE, the X-ray powder pattern of Pm3Ho2Sc4 was computed for Cu Ka.
Intensities are scaled so that the largest is 100.

Largest 6 diffraction maxima, low angle first, 2θ from 5° to 70°:
| d_spacing | Position (°2θ) | I/Imax |
| --- | --- | --- |
| 2.868 | 31.19 | 46 |
| 2.812 | 31.82 | 100 |
| 2.711 | 33.05 | 89 |
| 2.326 | 38.70 | 30 |
| 2.296 | 39.24 | 28 |
| 1.604 | 57.45 | 22 |

Structural model:
```
Pm3Ho2Sc4
1.0
8.0553 -5.6279 0.0000
8.0553 5.6279 0.0000
-0.7749 0.0000 5.7583
Pm Ho Sc
6 4 8
direct
0.1209 0.8791 0.7500 Pm
0.2283 0.4498 0.8922 Pm
0.4498 0.2283 0.3922 Pm
0.5502 0.7717 0.6078 Pm
0.7717 0.5502 0.1078 Pm
0.8791 0.1209 0.2500 Pm
0.0033 0.7489 0.1996 Ho
0.2511 0.9967 0.3004 Ho
0.7489 0.0033 0.6996 Ho
0.9967 0.2511 0.8004 Ho
0.0939 0.3655 0.3462 Sc
0.3255 0.5773 0.4651 Sc
0.3655 0.0939 0.8462 Sc
0.4227 0.6745 0.0349 Sc
0.5773 0.3255 0.9651 Sc
0.6345 0.9061 0.1538 Sc
0.6745 0.4227 0.5349 Sc
0.9061 0.6345 0.6538 Sc
```


Record 10
Starting from a crystal structure in Alexandria, relaxed with GGA-PBE, the X-ray powder pattern of FeH4Pd12 was computed for Cu Ka.
Intensities are scaled so that the largest is 100.

Largest 6 diffraction maxima, low angle first, 2θ from 5° to 70°:
| d_spacing | Position (°2θ) | I/Imax |
| --- | --- | --- |
| 2.667 | 33.60 | 21 |
| 2.386 | 37.71 | 100 |
| 2.178 | 41.46 | 36 |
| 2.016 | 44.96 | 73 |
| 1.886 | 48.25 | 9 |
| 1.480 | 62.80 | 7 |

Structural model:
```
FeH4Pd12
1.0
-3.7722 3.7722 3.7722
3.7722 -3.7722 3.7722
3.7722 3.7722 -3.7722
Fe H Pd
1 4 12
direct
0.0000 0.0000 0.0000 Fe
0.0000 0.0000 0.5000 H
0.0000 0.5000 0.0000 H
0.5000 0.0000 0.0000 H
0.5000 0.5000 0.5000 H
0.1245 0.3071 0.8174 Pd
0.1826 0.4898 0.3071 Pd
0.1826 0.8755 0.6929 Pd
0.3071 0.1826 0.4898 Pd
0.3071 0.8174 0.1245 Pd
0.4898 0.3071 0.1826 Pd
0.5102 0.6929 0.8174 Pd
0.6929 0.1826 0.8755 Pd
0.6929 0.8174 0.5102 Pd
0.8174 0.1245 0.3071 Pd
0.8174 0.5102 0.6929 Pd
0.8755 0.6929 0.1826 Pd
```


Record 11
Starting from a crystal structure in Alexandria, relaxed with GGA-PBE, the X-ray powder pattern of Cs3P2N4 was computed for Cu Ka.
Intensities are scaled so that the largest is 100.

Largest 6 diffraction maxima, low angle first, 2θ from 5° to 70°:
| d_spacing | Position (°2θ) | I/Imax |
| --- | --- | --- |
| 3.917 | 22.70 | 79 |
| 3.549 | 25.09 | 54 |
| 3.440 | 25.90 | 74 |
| 3.296 | 27.05 | 100 |
| 2.790 | 32.08 | 71 |
| 2.590 | 34.64 | 61 |

Structural model:
```
Cs3P2N4
1.0
7.4663 -1.5171 0.0000
7.4663 1.5171 0.0000
-0.4332 0.0000 7.8333
Cs P N
3 2 4
direct
0.0000 0.0000 0.0000 Cs
0.3739 0.3739 0.4498 Cs
0.6261 0.6261 0.5502 Cs
0.2740 0.2740 0.8648 P
0.7260 0.7260 0.1352 P
0.1795 0.1795 0.2382 N
0.3171 0.3171 0.0692 N
0.6829 0.6829 0.9308 N
0.8205 0.8205 0.7618 N
```


Record 12
Starting from a crystal structure in Alexandria, relaxed with GGA-PBE, the X-ray powder pattern of GaHO was computed for Cu Ka.
Intensities are scaled so that the largest is 100.

Largest 6 diffraction maxima, low angle first, 2θ from 5° to 70°:
| d_spacing | Position (°2θ) | I/Imax |
| --- | --- | --- |
| 8.066 | 10.97 | 100 |
| 4.033 | 22.04 | 21 |
| 2.566 | 34.96 | 27 |
| 2.551 | 35.18 | 34 |
| 2.532 | 35.46 | 33 |
| 2.450 | 36.68 | 24 |

Structural model:
```
GaHO
1.0
2.6447 0.0000 0.0000
-0.0004 3.2730 0.0000
-0.6359 -0.0638 8.0655
Ga H O
2 2 2
direct
0.2412 0.2474 0.3512 Ga
0.7588 0.7526 0.6488 Ga
0.1515 0.2570 0.8597 H
0.8485 0.7430 0.1403 H
0.2022 0.7441 0.1914 O
0.7978 0.2559 0.8086 O
```